[1]
# NaSn2Pb10
Simulated powder diffraction line list, Cu Kα (weighted mean of Kα1 and Kα2). Input: a cell relaxed with PBE.
Peak positions follow from Bragg's law for the DFT cell and can differ from measured ones.

Most intense lines, 2θ = 5–70°, sorted by position:
(hkl)	Position (°2θ)	d [Å]	I_rel
0 1 0	10.9	8.137	31
2 1 1	27.7	3.223	21
0 2 -2	31.1	2.880	100
1 1 3	31.4	2.849	27
2 0 0	31.5	2.840	39
2 2 0	31.8	2.812	30
0 1 3	34.8	2.581	35
0 3 1	34.9	2.574	51
2 -1 1	35.2	2.549	49
2 1 -1	35.3	2.544	37
2 1 3	35.7	2.512	26
2 3 1	35.9	2.505	28

Atomic structure:
```
data_NaSn2Pb10
_chemical_formula_sum 'Na1 Sn2 Pb10'
_space_group_name_H-M_alt 'P -1'
_space_group_IT_number 2
_space_group_name_Hall '-P 1'
_cell_length_a 6.448
_cell_length_b 8.698
_cell_length_c 8.726
_cell_angle_alpha 82.66
_cell_angle_beta 69.06
_cell_angle_gamma 69.27
loop_
_atom_site_label
_atom_site_type_symbol
_atom_site_fract_x
_atom_site_fract_y
_atom_site_fract_z
_atom_site_occupancy
Na1 Na 0.000 0.000 0.000 1
Sn1 Sn 0.000 0.000 0.500 1
Sn2 Sn 0.500 0.000 0.500 1
Pb1 Pb 0.000 0.500 0.000 1
Pb2 Pb 0.005 0.347 0.645 1
Pb3 Pb 0.283 0.210 0.215 1
Pb4 Pb 0.350 0.653 0.645 1
Pb5 Pb 0.497 0.789 0.217 1
Pb6 Pb 0.500 0.500 0.000 1
```

***

[2]
# Na3SnPb4
Simulated powder diffraction line list, Cu Kα (weighted mean of Kα1 and Kα2). Input: a cell relaxed with PBE.
Peak positions follow from Bragg's law for the DFT cell and can differ from measured ones.

Most intense lines, 2θ = 5–70°, sorted by position:
(hkl)	Position (°2θ)	d [Å]	I_rel
0 1 1	13.4	6.626	48
1 0 1	16.8	5.276	72
0 0 2	18.2	4.869	86
1 2 1	26.0	3.433	45
0 3 1	31.0	2.880	100
2 1 1	31.5	2.837	80
2 2 0	34.8	2.578	31
0 0 4	36.9	2.433	45
1 3 2	37.9	2.373	36
2 2 2	39.6	2.279	81
0 3 3	40.9	2.209	34
2 5 1	59.8	1.547	27

Atomic structure:
```
data_Na3SnPb4
_chemical_formula_sum 'Na6 Sn2 Pb8'
_space_group_name_H-M_alt 'I m m 2'
_space_group_IT_number 44
_space_group_name_Hall 'I 2 -2'
_cell_length_a 6.278
_cell_length_b 9.042
_cell_length_c 9.739
_cell_angle_alpha 90.00
_cell_angle_beta 90.00
_cell_angle_gamma 90.00
loop_
_atom_site_label
_atom_site_type_symbol
_atom_site_fract_x
_atom_site_fract_y
_atom_site_fract_z
_atom_site_occupancy
Na1 Na 0.000 0.000 0.000 1
Na2 Na 0.000 0.201 0.350 1
Sn1 Sn 0.000 0.500 0.917 1
Pb1 Pb 0.000 0.310 0.662 1
Pb2 Pb 0.248 0.500 0.187 1
```

***

[3]
# Na2Sn4Pb
Simulated powder diffraction line list, Cu Kα (weighted mean of Kα1 and Kα2). Input: a cell relaxed with PBE.
Peak positions follow from Bragg's law for the DFT cell and can differ from measured ones.

Most intense lines, 2θ = 5–70°, sorted by position:
(hkl)	Position (°2θ)	d [Å]	I_rel
1 1 0	16.4	5.402	23
1 1 -1	16.5	5.366	40
0 2 0	17.2	5.154	24
0 0 1	19.9	4.465	26
0 2 1	26.4	3.375	27
2 2 0	33.2	2.701	100
2 2 -2	33.4	2.683	98
0 4 0	34.8	2.577	44
0 0 2	40.3	2.237	34
4 0 -2	40.5	2.228	34
0 4 2	54.3	1.689	25
4 4 -2	54.4	1.685	25

Atomic structure:
```
data_Na2Sn4Pb
_chemical_formula_sum 'Na4 Sn8 Pb2'
_space_group_name_H-M_alt 'C 1 2 1'
_space_group_IT_number 5
_space_group_name_Hall 'C 2y'
_cell_length_a 8.911
_cell_length_b 10.308
_cell_length_c 6.285
_cell_angle_alpha 90.00
_cell_angle_beta 134.61
_cell_angle_gamma 90.00
loop_
_atom_site_label
_atom_site_type_symbol
_atom_site_fract_x
_atom_site_fract_y
_atom_site_fract_z
_atom_site_occupancy
Na1 Na 0.000 0.000 0.000 1
Na2 Na 0.000 0.000 0.500 1
Sn1 Sn 0.248 0.251 0.498 1
Sn2 Sn 0.248 0.749 0.998 1
Pb1 Pb 0.000 0.501 0.500 1
```

***

[4]
# Na2SnPb
Simulated powder diffraction line list, Cu Kα (weighted mean of Kα1 and Kα2). Input: a cell relaxed with PBE.
Peak positions follow from Bragg's law for the DFT cell and can differ from measured ones.

Most intense lines, 2θ = 5–70°, sorted by position:
(hkl)	Position (°2θ)	d [Å]	I_rel
0 0 2	17.3	5.112	46
1 0 1	21.3	4.165	100
1 0 3	32.8	2.730	82
1 1 0	34.0	2.633	75
1 1 2	38.5	2.341	40
0 2 1	40.5	2.228	40
0 2 3	48.0	1.895	29
2 1 1	53.9	1.700	18
0 1 6	57.8	1.596	16
2 1 3	60.2	1.538	29
3 0 0	60.9	1.521	19
1 2 4	65.3	1.429	11

Atomic structure:
```
data_Na2SnPb
_chemical_formula_sum 'Na4 Sn2 Pb2'
_space_group_name_H-M_alt 'P -3 m 1'
_space_group_IT_number 164
_space_group_name_Hall '-P 3 2"'
_cell_length_a 5.2665
_cell_length_b 5.2665
_cell_length_c 10.2234
_cell_angle_alpha 90.00
_cell_angle_beta 90.00
_cell_angle_gamma 120.00
loop_
_atom_site_label
_atom_site_type_symbol
_atom_site_fract_x
_atom_site_fract_y
_atom_site_fract_z
_atom_site_occupancy
Na1 Na 0.3333 0.6667 0.0601 1
Na2 Na 0.3333 0.6667 0.4014 1
Sn1 Sn 0.0000 0.0000 0.1615 1
Pb1 Pb 0.3333 0.6667 0.7312 1
```

***

[5]
# NaSn4Pb
Simulated powder diffraction line list, Cu Kα (weighted mean of Kα1 and Kα2). Input: a cell relaxed with PBE.
Peak positions follow from Bragg's law for the DFT cell and can differ from measured ones.

Most intense lines, 2θ = 5–70°, sorted by position:
(hkl)	Position (°2θ)	d [Å]	I_rel
0 0 1	15.7	5.648	17
1 1 0	18.4	4.809	24
0 0 2	31.7	2.824	52
1 3 -1	32.1	2.788	100
2 0 0	32.8	2.731	47
2 0 -2	36.5	2.464	36
1 3 1	37.7	2.383	65
1 3 -3	52.8	1.735	25
3 3 -1	54.2	1.691	35
3 3 -3	62.9	1.477	15
1 3 3	64.2	1.451	29
2 6 0	64.9	1.437	14

Atomic structure:
```
data_NaSn4Pb
_chemical_formula_sum 'Na2 Sn8 Pb2'
_space_group_name_H-M_alt 'C 1 2/m 1'
_space_group_IT_number 12
_space_group_name_Hall '-C 2y'
_cell_length_a 5.868
_cell_length_b 10.141
_cell_length_c 6.067
_cell_angle_alpha 90.00
_cell_angle_beta 111.43
_cell_angle_gamma 90.00
loop_
_atom_site_label
_atom_site_type_symbol
_atom_site_fract_x
_atom_site_fract_y
_atom_site_fract_z
_atom_site_occupancy
Na1 Na 0.000 0.000 0.000 1
Sn1 Sn 0.000 0.169 0.500 1
Sn2 Sn 0.000 0.331 0.000 1
Pb1 Pb 0.000 0.500 0.500 1
```

***

[6]
# NaSn3Pb
Simulated powder diffraction line list, Cu Kα (weighted mean of Kα1 and Kα2). Input: a cell relaxed with PBE.
Peak positions follow from Bragg's law for the DFT cell and can differ from measured ones.

Most intense lines, 2θ = 5–70°, sorted by position:
(hkl)	Position (°2θ)	d [Å]	I_rel
1 0 1	14.6	6.073	24
1 1 1	18.5	4.785	30
2 1 1	27.5	3.244	25
0 1 3	29.1	3.064	21
1 2 2	31.4	2.847	100
2 1 2	31.6	2.828	49
0 0 4	35.9	2.503	25
1 3 0	36.6	2.453	20
3 1 0	37.1	2.421	27
1 1 4	39.7	2.273	17
1 2 6	61.8	1.502	13
3 3 4	63.3	1.470	16

Atomic structure:
```
data_NaSn3Pb
_chemical_formula_sum 'Na4 Sn12 Pb4'
_space_group_name_H-M_alt 'P n n m'
_space_group_IT_number 58
_space_group_name_Hall '-P 2 2n'
_cell_length_a 7.642
_cell_length_b 7.770
_cell_length_c 10.003
_cell_angle_alpha 90.00
_cell_angle_beta 90.00
_cell_angle_gamma 90.00
loop_
_atom_site_label
_atom_site_type_symbol
_atom_site_fract_x
_atom_site_fract_y
_atom_site_fract_z
_atom_site_occupancy
Na1 Na 0.139 0.190 0.000 1
Sn1 Sn 0.000 0.500 0.341 1
Sn2 Sn 0.140 0.864 0.254 1
Pb1 Pb 0.199 0.131 0.500 1
```